The following is a simulated XRD peak list of Ca3Ga3Rh2. It was derived from a structure optimized by DFT (PBE), using λ = 1.5418 Å (Cu Kα).

Structural model:
```
data_Ca3Ga3Rh2
_chemical_formula_sum 'Ca12 Ga12 Rh8'
_cell_length_a 8.1225
_cell_length_b 14.9960
_cell_length_c 5.8439
_cell_angle_alpha 90.00
_cell_angle_beta 90.00
_cell_angle_gamma 90.00
_space_group_name_H-M_alt 'P 1'
_space_group_IT_number 1
_space_group_name_Hall 'P 1'
loop_
_atom_site_label
_atom_site_type_symbol
_atom_site_fract_x
_atom_site_fract_y
_atom_site_fract_z
Ca1 Ca 0.0462 0.1090 0.1144
Ca2 Ca 0.0462 0.3910 0.1144
Ca3 Ca 0.1974 0.2500 0.6183
Ca4 Ca 0.3026 0.7500 0.1183
Ca5 Ca 0.4538 0.6090 0.6144
Ca6 Ca 0.4538 0.8910 0.6144
Ca7 Ca 0.5462 0.1090 0.3856
Ca8 Ca 0.5462 0.3910 0.3856
Ca9 Ca 0.6974 0.2500 0.8817
Ca10 Ca 0.8026 0.7500 0.3817
Ca11 Ca 0.9538 0.6090 0.8856
Ca12 Ca 0.9538 0.8910 0.8856
Ga1 Ga 0.1474 0.7500 0.5811
Ga2 Ga 0.1805 0.0397 0.6232
Ga3 Ga 0.1805 0.4603 0.6232
Ga4 Ga 0.3195 0.5397 0.1232
Ga5 Ga 0.3195 0.9603 0.1232
Ga6 Ga 0.3526 0.2500 0.0811
Ga7 Ga 0.6474 0.7500 0.9189
Ga8 Ga 0.6805 0.0397 0.8768
Ga9 Ga 0.6805 0.4603 0.8768
Ga10 Ga 0.8195 0.5397 0.3768
Ga11 Ga 0.8195 0.9603 0.3768
Ga12 Ga 0.8526 0.2500 0.4189
Rh1 Rh 0.1086 0.5973 0.3954
Rh2 Rh 0.1086 0.9027 0.3954
Rh3 Rh 0.3914 0.0973 0.8954
Rh4 Rh 0.3914 0.4027 0.8954
Rh5 Rh 0.6086 0.5973 0.1046
Rh6 Rh 0.6086 0.9027 0.1046
Rh7 Rh 0.8914 0.0973 0.6046
Rh8 Rh 0.8914 0.4027 0.6046
```

Main lines, by angle (2θ = 10–90°):
2θ (°)  I/Imax
11.80  49.0
18.71  88.6
23.42  45.6
32.52  47.9
35.93  36.9
36.04  62.8
36.58  58.1
37.08  31.7
37.33  100.0
40.69  52.6
46.51  33.0
57.99  33.5



The following is a simulated XRD peak list of CaGa2S4. It was derived from a structure optimized by DFT (PBE), using λ = 1.5418 Å (Cu Kα).

Structural model:
```
data_CaGa2S4
_chemical_formula_sum 'Ca8 Ga16 S32'
_cell_length_a 14.3770
_cell_length_b 11.8868
_cell_length_c 11.8397
_cell_angle_alpha 74.59
_cell_angle_beta 52.85
_cell_angle_gamma 52.55
_space_group_name_H-M_alt 'P 1'
_space_group_IT_number 1
_space_group_name_Hall 'P 1'
loop_
_atom_site_label
_atom_site_type_symbol
_atom_site_fract_x
_atom_site_fract_y
_atom_site_fract_z
Ca1 Ca 0.1228 0.1228 0.6272
Ca2 Ca 0.1250 0.1250 0.1250
Ca3 Ca 0.3728 0.3728 0.8772
Ca4 Ca 0.3750 0.3750 0.3750
Ca5 Ca 0.6250 0.6250 0.6250
Ca6 Ca 0.6272 0.6272 0.1228
Ca7 Ca 0.8750 0.8750 0.8750
Ca8 Ca 0.8772 0.8772 0.3728
Ga1 Ga 0.0319 0.4676 0.8596
Ga2 Ga 0.1115 0.3872 0.3643
Ga3 Ga 0.1404 0.8591 0.9681
Ga4 Ga 0.1409 0.8596 0.4676
Ga5 Ga 0.3630 0.6357 0.6128
Ga6 Ga 0.3643 0.6370 0.1115
Ga7 Ga 0.3872 0.1115 0.6370
Ga8 Ga 0.4676 0.0319 0.1409
Ga9 Ga 0.5324 0.9681 0.8591
Ga10 Ga 0.6128 0.8885 0.3630
Ga11 Ga 0.6357 0.3630 0.8885
Ga12 Ga 0.6370 0.3643 0.3872
Ga13 Ga 0.8591 0.1404 0.5324
Ga14 Ga 0.8596 0.1409 0.0319
Ga15 Ga 0.8885 0.6128 0.6357
Ga16 Ga 0.9681 0.5324 0.1404
S1 S 0.0841 0.0869 0.4162
S2 S 0.0864 0.5836 0.4134
S3 S 0.0869 0.0841 0.9128
S4 S 0.0872 0.5838 0.9131
S5 S 0.1543 0.8432 0.6573
S6 S 0.1548 0.3427 0.1568
S7 S 0.1568 0.8457 0.1548
S8 S 0.1836 0.3138 0.6531
S9 S 0.3138 0.1836 0.3496
S10 S 0.3427 0.1548 0.8457
S11 S 0.3469 0.6504 0.8164
S12 S 0.3496 0.6531 0.3138
S13 S 0.4134 0.4166 0.0864
S14 S 0.4162 0.9128 0.0841
S15 S 0.4164 0.9136 0.5834
S16 S 0.4166 0.4134 0.5836
S17 S 0.5834 0.5866 0.4164
S18 S 0.5836 0.0864 0.4166
S19 S 0.5838 0.0872 0.9159
S20 S 0.5866 0.5834 0.9136
S21 S 0.6504 0.3469 0.6862
S22 S 0.6531 0.3496 0.1836
S23 S 0.6573 0.8452 0.1543
S24 S 0.6862 0.8164 0.6504
S25 S 0.8164 0.6862 0.3469
S26 S 0.8432 0.1543 0.8452
S27 S 0.8452 0.6573 0.8432
S28 S 0.8457 0.1568 0.3427
S29 S 0.9128 0.4162 0.0869
S30 S 0.9131 0.9159 0.0872
S31 S 0.9136 0.4164 0.5866
S32 S 0.9159 0.9131 0.5838
```

Main lines, by angle (2θ = 10–90°):
2θ (°)  I/Imax
17.42  100.0
24.37  61.0
30.22  39.0
31.38  33.0
31.49  25.9
35.22  38.1
35.40  19.9
38.66  83.9
47.07  21.8
53.20  30.1
53.97  16.9
54.82  16.8



> What is the formula in the second record?

CaGa2S4